Diffraction record for CsK3V4O12. The powder X-ray diffraction pattern is simulated, not measured: it uses a GGA+U-relaxed structure and Cu Kα X-rays.

Cell and atoms:
a = 8.1463 Å, b = 8.1463 Å, c = 8.1463 Å
α = 111.86°, β = 111.86°, γ = 111.86°
Atoms (fractional coordinates):
Cs 0.0000 0.0000 0.0000
K 0.0000 0.5724 0.4276
K 0.4276 0.0000 0.5724
K 0.5724 0.4276 0.0000
V 0.0849 0.5000 0.9151
V 0.5000 0.5000 0.5000
V 0.5000 0.9151 0.0849
V 0.9151 0.0849 0.5000
O 0.0404 0.9596 0.5000
O 0.1123 0.6359 0.7969
O 0.2031 0.3641 0.8877
O 0.3641 0.8877 0.2031
O 0.3757 0.6243 0.5000
O 0.5000 0.0404 0.9596
O 0.5000 0.3757 0.6243
O 0.6243 0.5000 0.3757
O 0.6359 0.7969 0.1123
O 0.7969 0.1123 0.6359
O 0.8877 0.2031 0.3641
O 0.9596 0.5000 0.0404

Top 12 peaks for 5° ≤ 2θ ≤ 70°, low angle first:
13.12°, intensity 221; 22.83°, intensity 712; 23.69°, intensity 515; 26.42°, intensity 543; 29.35°, intensity 1000; 30.29°, intensity 381; 32.27°, intensity 245; 40.24°, intensity 242; 42.17°, intensity 258; 46.46°, intensity 243; 48.65°, intensity 421; 61.31°, intensity 231